(1)
The following is a theoretical powder diffractogram of Ac6TbY5. It was derived from the PBE geometry in Alexandria, using CuKα.
Neutral-atom scattering factors, no anomalous dispersion.

Main lines, most intense first (15° ≤ 2θ ≤ 90°):
2θ/deg, Rel. int.
29.02, 100
32.62, 37
56.02, 32
49.05, 24
35.60, 15
46.80, 14
59.96, 13
60.16, 13
79.33, 12
22.91, 12

Structural model:
```
data_Ac6TbY5
_chemical_formula_sum 'Ac6 Tb1 Y5'
_cell_length_a 10.040
_cell_length_b 10.040
_cell_length_c 10.040
_cell_angle_alpha 148.26
_cell_angle_beta 119.68
_cell_angle_gamma 69.78
_space_group_name_H-M_alt 'P 1'
_space_group_IT_number 1
_space_group_name_Hall 'P 1'
loop_
_atom_site_label
_atom_site_type_symbol
_atom_site_fract_x
_atom_site_fract_y
_atom_site_fract_z
Ac1 Ac 0.084 0.334 0.750
Ac2 Ac 0.250 0.000 0.250
Ac3 Ac 0.417 0.666 0.750
Ac4 Ac 0.583 0.334 0.250
Ac5 Ac 0.750 0.000 0.750
Ac6 Ac 0.916 0.666 0.250
Tb1 Tb 0.500 0.500 0.000
Y1 Y 0.000 0.500 0.500
Y2 Y 0.167 0.167 0.000
Y3 Y 0.333 0.833 0.500
Y4 Y 0.667 0.167 0.500
Y5 Y 0.833 0.833 0.000
```



(2)
The following is a theoretical powder diffractogram of H6Se2I. It was derived from the PBE geometry in Alexandria, using CuKα.
Neutral-atom scattering factors, no anomalous dispersion.

Main lines, most intense first (15° ≤ 2θ ≤ 90°):
2θ/deg, Rel. int.
25.78, 100
23.60, 30
30.86, 29
39.21, 14
41.99, 12
42.84, 10
45.46, 9
47.19, 9
57.43, 8
68.56, 7

Structural model:
```
data_H6Se2I
_chemical_formula_sum 'H12 Se4 I2'
_cell_length_a 8.483
_cell_length_b 7.132
_cell_length_c 9.620
_cell_angle_alpha 58.62
_cell_angle_beta 45.87
_cell_angle_gamma 75.51
_space_group_name_H-M_alt 'P 1'
_space_group_IT_number 1
_space_group_name_Hall 'P 1'
loop_
_atom_site_label
_atom_site_type_symbol
_atom_site_fract_x
_atom_site_fract_y
_atom_site_fract_z
H1 H 0.078 0.556 0.767
H2 H 0.154 0.846 0.327
H3 H 0.184 0.474 0.329
H4 H 0.237 0.921 0.776
H5 H 0.474 0.184 0.013
H6 H 0.483 0.650 0.172
H7 H 0.556 0.078 0.600
H8 H 0.577 0.923 0.404
H9 H 0.650 0.483 0.694
H10 H 0.846 0.154 0.673
H11 H 0.921 0.237 0.066
H12 H 0.923 0.577 0.096
Se1 Se 0.127 0.402 0.907
Se2 Se 0.343 0.686 0.123
Se3 Se 0.402 0.127 0.564
Se4 Se 0.686 0.343 0.848
I1 I 0.746 0.746 0.254
I2 I 0.996 0.996 0.504
```



(3)
The following is a theoretical powder diffractogram of Cd2BiCl. It was derived from the PBE geometry in Alexandria, using CuKα.
Neutral-atom scattering factors, no anomalous dispersion.

Main lines, most intense first (15° ≤ 2θ ≤ 90°):
2θ/deg, Rel. int.
31.21, 100
24.91, 67
41.37, 50
37.23, 40
47.88, 24
52.71, 22
69.13, 20
66.67, 19
43.25, 17
56.86, 12

Structural model:
```
data_Cd2BiCl
_chemical_formula_sum 'Cd2 Bi1 Cl1'
_cell_length_a 7.746
_cell_length_b 7.746
_cell_length_c 7.746
_cell_angle_alpha 32.73
_cell_angle_beta 32.73
_cell_angle_gamma 32.73
_space_group_name_H-M_alt 'P 1'
_space_group_IT_number 1
_space_group_name_Hall 'P 1'
loop_
_atom_site_label
_atom_site_type_symbol
_atom_site_fract_x
_atom_site_fract_y
_atom_site_fract_z
Cd1 Cd 0.000 0.000 0.000
Cd2 Cd 0.180 0.180 0.180
Bi1 Bi 0.593 0.593 0.593
Cl1 Cl 0.771 0.771 0.771
```



(4)
The following is a theoretical powder diffractogram of MgBi4O8. It was derived from the PBE geometry in Alexandria, using CuKα.
Neutral-atom scattering factors, no anomalous dispersion.

Main lines, most intense first (15° ≤ 2θ ≤ 90°):
2θ/deg, Rel. int.
29.78, 100
17.93, 72
43.62, 40
32.79, 40
56.67, 34
29.10, 22
31.12, 21
30.45, 21
28.65, 21
50.87, 18

Structural model:
```
data_MgBi4O8
_chemical_formula_sum 'Mg1 Bi4 O8'
_cell_length_a 6.969
_cell_length_b 6.969
_cell_length_c 10.515
_cell_angle_alpha 116.36
_cell_angle_beta 116.36
_cell_angle_gamma 28.55
_space_group_name_H-M_alt 'P 1'
_space_group_IT_number 1
_space_group_name_Hall 'P 1'
loop_
_atom_site_label
_atom_site_type_symbol
_atom_site_fract_x
_atom_site_fract_y
_atom_site_fract_z
Mg1 Mg 0.000 0.000 0.000
Bi1 Bi 0.071 0.071 0.379
Bi2 Bi 0.325 0.325 0.080
Bi3 Bi 0.576 0.576 0.766
Bi4 Bi 0.817 0.817 0.664
O1 O 0.147 0.147 0.973
O2 O 0.258 0.258 0.511
O3 O 0.455 0.455 0.848
O4 O 0.500 0.500 0.137
O5 O 0.582 0.582 0.514
O6 O 0.823 0.823 0.943
O7 O 0.853 0.853 0.225
O8 O 0.969 0.969 0.641
```



(5)
The following is a theoretical powder diffractogram of Tb5NdDy3. It was derived from the PBE geometry in Alexandria, using CuKα.
Neutral-atom scattering factors, no anomalous dispersion.

Main lines, most intense first (15° ≤ 2θ ≤ 90°):
2θ/deg, Rel. int.
32.37, 100
31.65, 82
31.26, 58
28.20, 40
34.44, 32
30.09, 27
55.43, 21
24.01, 17
57.45, 16
37.06, 16

Structural model:
```
data_Tb5NdDy3
_chemical_formula_sum 'Tb10 Nd2 Dy6'
_cell_length_a 9.665
_cell_length_b 9.665
_cell_length_c 11.325
_cell_angle_alpha 110.48
_cell_angle_beta 110.48
_cell_angle_gamma 38.32
_space_group_name_H-M_alt 'P 1'
_space_group_IT_number 1
_space_group_name_Hall 'P 1'
loop_
_atom_site_label
_atom_site_type_symbol
_atom_site_fract_x
_atom_site_fract_y
_atom_site_fract_z
Tb1 Tb 0.029 0.650 0.985
Tb2 Tb 0.039 0.620 0.288
Tb3 Tb 0.105 0.895 0.750
Tb4 Tb 0.350 0.971 0.515
Tb5 Tb 0.380 0.961 0.212
Tb6 Tb 0.620 0.039 0.788
Tb7 Tb 0.650 0.029 0.485
Tb8 Tb 0.895 0.105 0.250
Tb9 Tb 0.961 0.380 0.712
Tb10 Tb 0.971 0.350 0.015
Nd1 Nd 0.365 0.635 0.250
Nd2 Nd 0.635 0.365 0.750
Dy1 Dy 0.153 0.508 0.626
Dy2 Dy 0.492 0.847 0.874
Dy3 Dy 0.500 0.500 0.000
Dy4 Dy 0.500 0.500 0.500
Dy5 Dy 0.508 0.153 0.126
Dy6 Dy 0.847 0.492 0.374
```



(6)
The following is a theoretical powder diffractogram of Np6OsRu2. It was derived from the PBE geometry in Alexandria, using CuKα.
Neutral-atom scattering factors, no anomalous dispersion.

Main lines, most intense first (15° ≤ 2θ ≤ 90°):
2θ/deg, Rel. int.
40.73, 100
38.97, 90
36.61, 67
40.32, 33
52.70, 30
31.98, 30
81.33, 28
55.58, 27
68.71, 22
72.06, 19

Structural model:
```
data_Np6OsRu2
_chemical_formula_sum 'Np6 Os1 Ru2'
_cell_length_a 5.266
_cell_length_b 5.266
_cell_length_c 5.649
_cell_angle_alpha 98.16
_cell_angle_beta 98.16
_cell_angle_gamma 90.00
_space_group_name_H-M_alt 'P 1'
_space_group_IT_number 1
_space_group_name_Hall 'P 1'
loop_
_atom_site_label
_atom_site_type_symbol
_atom_site_fract_x
_atom_site_fract_y
_atom_site_fract_z
Np1 Np 0.162 0.838 0.000
Np2 Np 0.172 0.495 0.331
Np3 Np 0.495 0.172 0.331
Np4 Np 0.505 0.828 0.669
Np5 Np 0.828 0.505 0.669
Np6 Np 0.838 0.162 0.000
Os1 Os 0.000 0.000 0.500
Ru1 Ru 0.334 0.334 0.833
Ru2 Ru 0.666 0.666 0.167
```



(7)
The following is a theoretical powder diffractogram of AgPt2Br. It was derived from the PBE geometry in Alexandria, using CuKα.
Neutral-atom scattering factors, no anomalous dispersion.

Main lines, most intense first (15° ≤ 2θ ≤ 90°):
2θ/deg, Rel. int.
37.84, 100
43.86, 65
37.47, 33
76.60, 25
64.02, 21
63.52, 21
18.49, 20
76.83, 13
36.20, 12
76.15, 12

Structural model:
```
data_AgPt2Br
_chemical_formula_sum 'Ag1 Pt2 Br1'
_cell_length_a 9.745
_cell_length_b 9.745
_cell_length_c 9.745
_cell_angle_alpha 17.17
_cell_angle_beta 17.17
_cell_angle_gamma 17.17
_space_group_name_H-M_alt 'P 1'
_space_group_IT_number 1
_space_group_name_Hall 'P 1'
loop_
_atom_site_label
_atom_site_type_symbol
_atom_site_fract_x
_atom_site_fract_y
_atom_site_fract_z
Ag1 Ag 0.000 0.000 0.000
Pt1 Pt 0.253 0.253 0.253
Pt2 Pt 0.747 0.747 0.747
Br1 Br 0.500 0.500 0.500
```



(8)
The following is a theoretical powder diffractogram of PrNd6SmY2. It was derived from the PBE geometry in Alexandria, using CuKα.
Neutral-atom scattering factors, no anomalous dispersion.

Main lines, most intense first (15° ≤ 2θ ≤ 90°):
2θ/deg, Rel. int.
30.11, 100
29.54, 84
30.42, 81
27.89, 64
30.84, 57
30.66, 57
33.32, 47
31.71, 39
33.94, 36
52.47, 20

Structural model:
```
data_PrNd6SmY2
_chemical_formula_sum 'Pr2 Nd12 Sm2 Y4'
_cell_length_a 9.008
_cell_length_b 9.008
_cell_length_c 9.724
_cell_angle_alpha 93.55
_cell_angle_beta 93.55
_cell_angle_gamma 116.74
_space_group_name_H-M_alt 'P 1'
_space_group_IT_number 1
_space_group_name_Hall 'P 1'
loop_
_atom_site_label
_atom_site_type_symbol
_atom_site_fract_x
_atom_site_fract_y
_atom_site_fract_z
Pr1 Pr 0.093 0.907 0.750
Pr2 Pr 0.907 0.093 0.250
Nd1 Nd 0.018 0.795 0.382
Nd2 Nd 0.063 0.514 0.183
Nd3 Nd 0.205 0.982 0.118
Nd4 Nd 0.260 0.609 0.558
Nd5 Nd 0.391 0.740 0.942
Nd6 Nd 0.486 0.937 0.317
Nd7 Nd 0.514 0.063 0.683
Nd8 Nd 0.609 0.260 0.058
Nd9 Nd 0.740 0.391 0.442
Nd10 Nd 0.795 0.018 0.882
Nd11 Nd 0.937 0.486 0.817
Nd12 Nd 0.982 0.205 0.618
Sm1 Sm 0.466 0.534 0.250
Sm2 Sm 0.534 0.466 0.750
Y1 Y 0.207 0.301 0.950
Y2 Y 0.301 0.207 0.450
Y3 Y 0.699 0.793 0.550
Y4 Y 0.793 0.699 0.050
```